Record 1
Structure and calculated PXRD pattern of CdP2O10 (a DFT-relaxed cell (PBE, the Materials Project); Cu Kα, 1.54184 Å).
Neutral-atom scattering factors, no anomalous dispersion.

Main lines, by angle (2θ from 10° to 90°):
2theta  I (rel.)  index
14.78  1000  0 1 1
19.53  635  1 1 -1
22.16  666  1 0 -2
26.79  955  1 2 0
29.23  368  1 1 1
29.42  428  0 3 1
29.81  294  0 2 2
32.47  472  1 1 -3
39.64  371  2 2 -2
41.53  234  1 4 0

```
data_CdP2O10
_chemical_formula_sum 'Cd2 P4 O20'
_space_group_name_H-M_alt 'P 1 21/c 1'
_space_group_IT_number 14
_cell_length_a 5.145
_cell_length_b 9.956
_cell_length_c 8.633
_cell_angle_alpha 90.00
_cell_angle_beta 119.57
_cell_angle_gamma 90.00
loop_
_space_group_symop_operation_xyz
'x,y,z'
'-x,-y,-z'
'-x,y+1/2,-z+1/2'
'x,-y+1/2,z+1/2'
loop_
_atom_site_label
_atom_site_type_symbol
_atom_site_fract_x
_atom_site_fract_y
_atom_site_fract_z
Cd1 Cd 0.000 0.000 0.000
P1 P 0.408 0.204 0.667
O1 O 0.083 0.530 0.256
O2 O 0.114 0.163 0.667
O3 O 0.310 0.667 0.661
O4 O 0.398 0.143 0.130
O5 O 0.399 0.133 0.505
```

***

Record 2
Structure and calculated PXRD pattern of Ta3FeS6 (a DFT-relaxed cell (PBE, the Materials Project); Cu Kα, 1.54184 Å).
Neutral-atom scattering factors, no anomalous dispersion.

Main lines, by angle (2θ from 10° to 90°):
2theta  I (rel.)  index
15.14  1000  0 0 2
30.56  149  0 0 4
31.14  663  1 1 0
34.80  967  1 1 2
44.19  980  1 1 4
55.41  325  3 0 0
57.09  194  1 1 6
57.79  200  3 0 2
73.46  215  2 2 4
89.31  163  3 0 8

```
data_Ta3FeS6
_chemical_formula_sum 'Ta6 Fe2 S12'
_space_group_name_H-M_alt 'P 63 2 2'
_space_group_IT_number 182
_space_group_name_Hall 'P 6c 2c'
_cell_length_a 5.7441
_cell_length_b 5.7441
_cell_length_c 11.7002
_cell_angle_alpha 90.00
_cell_angle_beta 90.00
_cell_angle_gamma 120.00
loop_
_atom_site_label
_atom_site_type_symbol
_atom_site_fract_x
_atom_site_fract_y
_atom_site_fract_z
Ta1 Ta 0.0000 0.0000 0.0000
Ta2 Ta 0.3333 0.6667 0.0044
Fe1 Fe 0.3333 0.6667 0.7500
S1 S 0.0048 0.3372 0.8649
```

***

Record 3
Structure and calculated PXRD pattern of Ag8S (a DFT-relaxed cell (PBE, the Materials Project); Cu Kα, 1.54184 Å).
Neutral-atom scattering factors, no anomalous dispersion.

Main lines, by angle (2θ from 10° to 90°):
2theta  I (rel.)  index
34.03  1000  2 2 2
39.49  438  4 0 0
43.21  43  3 3 1
44.39  35  4 2 0
48.89  66  4 2 2
52.07  61  3 3 3
57.08  291  4 4 0
68.15  280  6 2 2
71.63  73  4 4 4
85.02  35  8 0 0

```
data_Ag8S
_chemical_formula_sum 'Ag32 S4'
_space_group_name_H-M_alt 'F -4 3 m'
_space_group_IT_number 216
_space_group_name_Hall 'F -4 2 3'
_cell_length_a 9.127
_cell_length_b 9.127
_cell_length_c 9.127
_cell_angle_alpha 90.00
_cell_angle_beta 90.00
_cell_angle_gamma 90.00
loop_
_atom_site_label
_atom_site_type_symbol
_atom_site_fract_x
_atom_site_fract_y
_atom_site_fract_z
Ag1 Ag 0.104 0.104 0.104
Ag2 Ag 0.124 0.124 0.624
S1 S 0.250 0.250 0.250
```

***

Record 4
Structure and calculated PXRD pattern of KCu3S2 (a DFT-relaxed cell (PBE, the Materials Project); Cu Kα, 1.54184 Å).
Neutral-atom scattering factors, no anomalous dispersion.

Main lines, by angle (2θ from 10° to 90°):
2theta  I (rel.)  index
11.62  1000  0 0 1
31.61  111  1 1 -2
35.52  378  3 1 1
39.96  201  5 1 -2
40.46  82  3 1 -3
43.56  200  3 1 2
44.74  103  5 1 -3
46.61  173  0 2 0
49.86  96  7 1 -2
51.00  85  8 0 -1

```
data_KCu3S2
_chemical_formula_sum 'K4 Cu12 S8'
_space_group_name_H-M_alt 'C 1 2/m 1'
_space_group_IT_number 12
_cell_length_a 14.589
_cell_length_b 3.897
_cell_length_c 8.297
_cell_angle_alpha 90.00
_cell_angle_beta 113.36
_cell_angle_gamma 90.00
loop_
_space_group_symop_operation_xyz
'x,y,z'
'-x,-y,-z'
'-x,y,-z'
'x,-y,z'
'x+1/2,y+1/2,z'
'-x+1/2,-y+1/2,-z'
'-x+1/2,y+1/2,-z'
'x+1/2,-y+1/2,z'
loop_
_atom_site_label
_atom_site_type_symbol
_atom_site_fract_x
_atom_site_fract_y
_atom_site_fract_z
K1 K 0.135 0.000 0.044
Cu1 Cu 0.064 0.000 0.409
Cu2 Cu 0.094 0.500 0.640
Cu3 Cu 0.190 0.500 0.418
S1 S 0.022 0.500 0.238
S2 S 0.193 0.000 0.691
```

***

Record 5
Structure and calculated PXRD pattern of ErAu (a DFT-relaxed cell (PBE, the Materials Project); Cu Kα, 1.54184 Å).
Neutral-atom scattering factors, no anomalous dispersion.

Main lines, by angle (2θ from 10° to 90°):
2theta  I (rel.)  index
31.94  1000  1 1 1
32.88  334  0 4 0
38.27  259  0 4 1
38.63  370  0 0 2
39.78  809  1 3 1
49.21  186  2 0 0
51.61  190  0 4 2
64.25  169  2 0 2
70.68  152  1 3 3
78.23  136  1 7 2

```
data_ErAu
_chemical_formula_sum 'Er4 Au4'
_space_group_name_H-M_alt 'C m c m'
_space_group_IT_number 63
_space_group_name_Hall '-C 2c 2'
_cell_length_a 3.703
_cell_length_b 10.896
_cell_length_c 4.661
_cell_angle_alpha 90.00
_cell_angle_beta 90.00
_cell_angle_gamma 90.00
loop_
_atom_site_label
_atom_site_type_symbol
_atom_site_fract_x
_atom_site_fract_y
_atom_site_fract_z
Er1 Er 0.000 0.139 0.250
Au1 Au 0.000 0.411 0.250
```

***

Record 6
Structure and calculated PXRD pattern of Ca3Sn4S11 (a DFT-relaxed cell (PBE, the Materials Project); Cu Kα, 1.54184 Å).
Neutral-atom scattering factors, no anomalous dispersion.

Main lines, by angle (2θ from 10° to 90°):
2theta  I (rel.)  index
20.70  408  2 0 0
22.59  651  2 1 -1
23.25  515  2 -2 0
25.86  390  1 0 2
26.90  1000  1 1 -3
31.15  462  3 -2 0
31.67  605  0 3 1
37.02  345  -4 1 1
37.37  537  1 3 1
41.04  389  3 1 1

```
data_Ca3Sn4S11
_chemical_formula_sum 'Ca6 Sn8 S22'
_space_group_name_H-M_alt 'P 1'
_space_group_IT_number 1
_cell_length_a 9.891
_cell_length_b 10.063
_cell_length_c 10.260
_cell_angle_alpha 94.96
_cell_angle_beta 114.31
_cell_angle_gamma 104.03
loop_
_space_group_symop_operation_xyz
'x,y,z'
loop_
_atom_site_label
_atom_site_type_symbol
_atom_site_fract_x
_atom_site_fract_y
_atom_site_fract_z
Ca1 Ca 0.000 0.000 0.000
Ca2 Ca 0.055 0.572 0.526
Ca3 Ca 0.394 0.545 0.273
Ca4 Ca 0.455 0.115 0.777
Ca5 Ca 0.628 0.651 0.694
Ca6 Ca 0.816 0.482 0.079
Sn1 Sn 0.162 0.241 0.429
Sn2 Sn 0.184 0.721 0.933
Sn3 Sn 0.266 0.385 0.881
Sn4 Sn 0.308 0.890 0.333
Sn5 Sn 0.614 0.226 0.275
Sn6 Sn 0.706 0.893 0.135
Sn7 Sn 0.745 0.239 0.641
Sn8 Sn 0.896 0.894 0.521
S1 S 0.029 0.985 0.294
S2 S 0.033 0.475 0.765
S3 S 0.116 0.312 0.027
S4 S 0.136 0.650 0.166
S5 S 0.165 0.180 0.675
S6 S 0.196 0.861 0.559
S7 S 0.257 0.250 0.212
S8 S 0.308 0.960 0.097
S9 S 0.311 0.491 0.533
S10 S 0.326 0.800 0.751
S11 S 0.418 0.139 0.483
S12 S 0.423 0.634 0.017
S13 S 0.511 0.314 0.030
S14 S 0.544 0.813 0.453
S15 S 0.658 0.385 0.778
S16 S 0.682 0.491 0.440
S17 S 0.705 0.017 0.778
S18 S 0.754 0.108 0.993
S19 S 0.781 0.630 0.338
S20 S 0.786 0.743 0.995
S21 S 0.913 0.321 0.311
S22 S 0.948 0.796 0.756
```